(1)
The following is a theoretical powder diffraction line list of Ag2Pb2Br7. It was derived from a structure optimized by DFT (GGA-PBE), using Cu Kα X-rays.
Lines closer than 0.1° are merged.

Crystal structure
```
data_Ag2Pb2Br7
_chemical_formula_sum 'Ag4 Pb4 Br14'
_symmetry_space_group_name_H-M 'C 1 m 1'
_symmetry_Int_Tables_number 8
_symmetry_space_group_name_Hall 'C -2y'
_cell_length_a 9.6065
_cell_length_b 11.2684
_cell_length_c 7.1522
_cell_angle_alpha 90.00
_cell_angle_beta 90.58
_cell_angle_gamma 90.00
loop_
_atom_site_label
_atom_site_fract_x
_atom_site_fract_y
_atom_site_fract_z
Ag1 0.0000 0.0000 0.0000
Ag2 0.0428 0.5000 0.9537
Pb1 0.1778 0.2674 0.5058
Br1 0.0727 0.5000 0.3205
Br2 0.1510 0.0000 0.6984
Br3 0.2809 0.5000 0.7613
Br4 0.4568 0.1958 0.7723
Br5 0.4581 0.3258 0.2571
```

Largest 8 diffraction maxima, in order of rising 2θ, 10° ≤ 2θ ≤ 80°:
| index | 2θ (°) | intensity |
| --- | --- | --- |
| 0 2 1 | 20.06 | 100 |
| 2 0 -1 | 22.19 | 53 |
| 1 3 1 | 28.43 | 52 |
| 0 4 0 | 31.76 | 46 |
| 2 2 -2 | 34.97 | 45 |
| 2 2 2 | 35.25 | 67 |
| 4 2 0 | 40.83 | 41 |
| 0 2 3 | 41.12 | 34 |

=====

(2)
The following is a theoretical powder diffraction line list of Cs2VI2Br4. It was derived from a structure optimized by DFT (GGA-PBE), using Cu Kα X-rays.
Lines closer than 0.1° are merged.

Crystal structure
```
data_Cs2VI2Br4
_chemical_formula_sum 'Cs4 V2 I4 Br8'
_symmetry_space_group_name_H-M 'I 4/m m m'
_symmetry_Int_Tables_number 139
_symmetry_space_group_name_Hall '-I 4 2'
_cell_length_a 8.0481
_cell_length_b 8.0481
_cell_length_c 11.0722
_cell_angle_alpha 90.00
_cell_angle_beta 90.00
_cell_angle_gamma 90.00
loop_
_atom_site_label
_atom_site_fract_x
_atom_site_fract_y
_atom_site_fract_z
Cs1 0.0000 0.5000 0.2500
V1 0.0000 0.0000 0.0000
I1 0.0000 0.0000 0.2495
Br1 0.2193 0.2193 0.0000
```

Largest 8 diffraction maxima, in order of rising 2θ, 10° ≤ 2θ ≤ 80°:
| index | 2θ (°) | intensity |
| --- | --- | --- |
| 2 0 2 | 27.40 | 100 |
| 2 2 0 | 31.44 | 42 |
| 0 0 4 | 32.34 | 22 |
| 4 0 0 | 45.06 | 14 |
| 2 2 4 | 45.73 | 29 |
| 4 2 2 | 53.55 | 24 |
| 2 0 6 | 54.72 | 14 |
| 4 0 4 | 56.55 | 14 |

=====

- What is the formula in the first record?
  Ag2Pb2Br7